The following is a calculated XRD peak list of CsK2Fe3P4ClO14. It was derived from a DFT-relaxed cell (PBE+U, the Materials Project), using Cu Kα.
No peak broadening, texture or thermal motion is included.

Top 10 peaks for 2θ = 15–90°, low angle first:
2theta  I_rel
23.33  16
26.33  21
26.73  16
28.37  100
28.46  29
29.13  29
29.49  20
30.10  16
33.25  38
33.65  16

Crystal structure
abc: 5.3938 7.7485 9.8360
angles: 80.09 76.35 89.84
Positions (direct):
Cs 0.0000 0.0000 0.0000
K 0.1452 0.5884 0.6710
K 0.8548 0.4116 0.3290
Fe 0.1702 0.1094 0.5885
Fe 0.5000 0.5000 0.0000
Fe 0.8298 0.8906 0.4115
P 0.3688 0.7170 0.2945
P 0.4164 0.0969 0.2542
P 0.5836 0.9031 0.7458
P 0.6312 0.2830 0.7055
Cl 0.0000 0.5000 0.0000
O 0.0885 0.7017 0.3803
O 0.1742 0.0884 0.3782
O 0.3380 0.9080 0.6908
O 0.4044 0.9127 0.1933
O 0.4196 0.2366 0.1271
O 0.4245 0.5880 0.1926
O 0.4463 0.2888 0.6085
O 0.5537 0.7111 0.3915
O 0.5755 0.4120 0.8074
O 0.5804 0.7634 0.8729
O 0.5956 0.0873 0.8067
O 0.6620 0.0920 0.3092
O 0.8258 0.9116 0.6218
O 0.9115 0.2983 0.6197

The following is a calculated XRD peak list of CsNa2Fe3P4ClO14. It was derived from a DFT-relaxed cell (PBE+U, the Materials Project), using Cu Kα.
No peak broadening, texture or thermal motion is included.

Top 10 peaks for 2θ = 15–90°, low angle first:
2theta  I_rel
22.34  35
24.12  63
27.14  46
28.77  70
29.32  42
29.64  40
30.07  96
30.69  100
33.85  64
43.11  31

Crystal structure
abc: 10.9143 10.9143 13.9529
angles: 117.53 117.53 28.09
Positions (direct):
Cs 0.0000 0.0000 0.0000
Cs 0.0000 0.0000 0.5000
Na 0.1910 0.2512 0.1508
Na 0.2512 0.1910 0.6508
Na 0.7488 0.8090 0.3492
Na 0.8090 0.7488 0.8492
Fe 0.1430 0.1667 0.8437
Fe 0.1667 0.1430 0.3437
Fe 0.4374 0.5626 0.2500
Fe 0.5626 0.4374 0.7500
Fe 0.8333 0.8570 0.6563
Fe 0.8570 0.8333 0.1563
P 0.3202 0.3630 0.5068
P 0.3630 0.3202 0.0068
P 0.3697 0.3907 0.3249
P 0.3907 0.3697 0.8249
P 0.6093 0.6303 0.1751
P 0.6303 0.6093 0.6751
P 0.6370 0.6798 0.9932
P 0.6798 0.6370 0.4932
Cl 0.0381 0.9619 0.7500
Cl 0.9619 0.0381 0.2500
O 0.0358 0.6512 0.5266
O 0.0756 0.6109 0.2850
O 0.1250 0.5424 0.7547
O 0.1881 0.3473 0.9269
O 0.2472 0.5140 0.1125
O 0.3473 0.1881 0.4269
O 0.3488 0.9642 0.9734
O 0.3617 0.4217 0.9481
O 0.3891 0.9244 0.2150
O 0.4217 0.3617 0.4481
O 0.4517 0.4647 0.3478
O 0.4576 0.8750 0.7453
O 0.4647 0.4517 0.8478
O 0.4860 0.7528 0.3875
O 0.5140 0.2472 0.6125
O 0.5353 0.5483 0.1522
O 0.5424 0.1250 0.2547
O 0.5483 0.5353 0.6522
O 0.5783 0.6383 0.5519
O 0.6109 0.0756 0.7850
O 0.6383 0.5783 0.0519
O 0.6512 0.0358 0.0266
O 0.6527 0.8119 0.5731
O 0.7528 0.4860 0.8875
O 0.8119 0.6527 0.0731
O 0.8750 0.4576 0.2453
O 0.9244 0.3891 0.7150
O 0.9642 0.3488 0.4734

The following is a calculated XRD peak list of Cs2MgMnV2Cl2O6. It was derived from a DFT-relaxed cell (PBE+U, the Materials Project), using Cu Kα.
No peak broadening, texture or thermal motion is included.

Top 10 peaks for 2θ = 15–90°, low angle first:
2theta  I_rel
21.94  100
25.14  76
27.02  96
27.73  59
30.21  23
30.97  25
31.48  52
34.85  28
42.43  29
44.73  29

Crystal structure
abc: 5.9398 5.6845 9.3129
angles: 90.00 103.50 90.00
Positions (direct):
Cs 0.0086 0.0000 0.2276
Cs 0.9914 0.0000 0.7724
Mg 0.5000 0.0139 0.5000
Mn 0.5000 0.5329 0.0000
V 0.2895 0.5170 0.5994
V 0.7105 0.5170 0.4006
Cl 0.0000 0.5210 0.0000
Cl 0.5000 0.0969 0.0000
O 0.0000 0.6360 0.5000
O 0.2828 0.2096 0.5615
O 0.3759 0.6126 0.7825
O 0.5000 0.6757 0.5000
O 0.6241 0.6126 0.2175
O 0.7172 0.2096 0.4385

The following is a calculated XRD peak list of Cs2MnCl4O2. It was derived from a DFT-relaxed cell (PBE+U, the Materials Project), using Cu Kα.
No peak broadening, texture or thermal motion is included.

Top 10 peaks for 2θ = 15–90°, low angle first:
2theta  I_rel
19.43  80
20.52  71
21.21  50
24.67  50
25.13  39
29.14  43
31.07  27
31.21  26
32.70  100
33.39  58

Crystal structure
abc: 6.1595 7.0962 7.1288
angles: 118.69 92.95 92.81
Positions (direct):
Cs 0.2447 0.3124 0.1722
Cs 0.7553 0.6876 0.8278
Mn 0.5000 0.0000 0.5000
Cl 0.2641 0.8397 0.6437
Cl 0.2985 0.8045 0.1618
Cl 0.7015 0.1955 0.8382
Cl 0.7359 0.1603 0.3563
O 0.3388 0.2108 0.5682
O 0.6612 0.7892 0.4318

The following is a calculated XRD peak list of Cs2MnV2Cl2O6. It was derived from a DFT-relaxed cell (PBE+U, the Materials Project), using Cu Kα.
No peak broadening, texture or thermal motion is included.

Top 10 peaks for 2θ = 15–90°, low angle first:
2theta  I_rel
22.44  84
25.02  80
26.51  100
29.39  47
30.74  42
31.55  50
40.68  33
43.07  31
44.63  26
61.50  26

Crystal structure
abc: 9.4342 9.4342 5.8164
angles: 90.00 90.00 145.01
Positions (direct):
Cs 0.1275 0.8725 0.0000
Cs 0.8725 0.1275 0.0000
Mn 0.5000 0.5000 0.4931
V 0.3015 0.6985 0.4913
V 0.6985 0.3015 0.4913
Cl 0.0000 0.0000 0.4738
Cl 0.5000 0.5000 0.9101
O 0.0000 0.5000 0.3782
O 0.2995 0.7005 0.7751
O 0.3908 0.6092 0.3917
O 0.5000 0.0000 0.3782
O 0.6092 0.3908 0.3917
O 0.7005 0.2995 0.7751

The following is a calculated XRD peak list of CsMoSCl2O2. It was derived from a DFT-relaxed cell (PBE+U, the Materials Project), using Cu Kα.
No peak broadening, texture or thermal motion is included.

Top 10 peaks for 2θ = 15–90°, low angle first:
2theta  I_rel
15.05  39
18.72  75
19.50  100
21.53  40
21.73  35
25.66  43
25.83  40
28.06  30
33.56  46
34.71  40

Crystal structure
abc: 7.6225 21.1581 10.7179
angles: 90.00 94.75 90.00
Positions (direct):
Cs 0.0975 0.2013 0.2805
Cs 0.0975 0.2987 0.7805
Cs 0.2980 0.5701 0.9861
Cs 0.2980 0.9299 0.4861
Cs 0.7020 0.0701 0.5139
Cs 0.7020 0.4299 0.0139
Cs 0.9025 0.7013 0.2195
Cs 0.9025 0.7987 0.7195
Mo 0.2444 0.0800 0.7696
Mo 0.2444 0.4200 0.2696
Mo 0.4925 0.6766 0.4830
Mo 0.4925 0.8234 0.9830
Mo 0.5075 0.1766 0.0170
Mo 0.5075 0.3234 0.5170
Mo 0.7556 0.5800 0.7304
Mo 0.7556 0.9200 0.2304
S 0.3221 0.0802 0.9839
S 0.3221 0.4198 0.4839
S 0.3305 0.6511 0.6635
S 0.3305 0.8489 0.1635
S 0.6695 0.1511 0.8365
S 0.6695 0.3489 0.3365
S 0.6779 0.5802 0.5161
S 0.6779 0.9198 0.0161
Cl 0.0293 0.0024 0.7765
Cl 0.0293 0.4976 0.2765
Cl 0.1403 0.0798 0.5098
Cl 0.1403 0.4202 0.0098
Cl 0.2545 0.7441 0.9524
Cl 0.2545 0.7559 0.4524
Cl 0.4414 0.6493 0.2667
Cl 0.4414 0.8507 0.7667
Cl 0.5586 0.1493 0.2333
Cl 0.5586 0.3507 0.7333
Cl 0.7455 0.2441 0.5476
Cl 0.7455 0.2559 0.0476
Cl 0.8597 0.5798 0.9902
Cl 0.8597 0.9202 0.4902
Cl 0.9707 0.5024 0.7235
Cl 0.9707 0.9976 0.2235
O 0.1958 0.1591 0.7442
O 0.1958 0.3409 0.2442
O 0.2765 0.6128 0.5400
O 0.2765 0.8872 0.0400
O 0.3345 0.2292 0.9952
O 0.3345 0.2708 0.4952
O 0.4411 0.0575 0.7090
O 0.4411 0.4425 0.2090
O 0.5589 0.5575 0.7910
O 0.5589 0.9425 0.2910
O 0.6655 0.7292 0.5048
O 0.6655 0.7708 0.0048
O 0.7235 0.1128 0.9600
O 0.7235 0.3872 0.4600
O 0.8042 0.6591 0.7558
O 0.8042 0.8409 0.2558

The following is a calculated XRD peak list of Cs2VCl5O4. It was derived from a DFT-relaxed cell (PBE+U, the Materials Project), using Cu Kα.
No peak broadening, texture or thermal motion is included.

Top 10 peaks for 2θ = 15–90°, low angle first:
2theta  I_rel
20.19  100
22.53  72
25.65  32
26.72  28
28.65  46
31.17  29
31.41  58
31.47  38
35.80  39
41.03  22

Crystal structure
abc: 9.0738 9.0738 6.9900
angles: 106.41 106.41 36.51
Positions (direct):
Cs 0.2002 0.2002 0.2272
Cs 0.7998 0.7998 0.7728
V 0.5000 0.5000 0.5000
Cl 0.0000 0.0000 0.0000
Cl 0.1730 0.1730 0.7156
Cl 0.3912 0.3912 0.6396
Cl 0.6088 0.6088 0.3604
Cl 0.8270 0.8270 0.2844
O 0.2375 0.6609 0.3026
O 0.3391 0.7625 0.6974
O 0.6609 0.2375 0.3026
O 0.7625 0.3391 0.6974

The following is a calculated XRD peak list of Cs3VCl6O4. It was derived from a DFT-relaxed cell (PBE+U, the Materials Project), using Cu Kα.
No peak broadening, texture or thermal motion is included.

Top 10 peaks for 2θ = 15–90°, low angle first:
2theta  I_rel
18.44  16
20.89  100
27.18  30
29.63  28
29.83  27
30.57  77
32.09  17
37.99  30
42.55  28
44.51  19

Crystal structure
abc: 10.2929 10.2929 10.2929
angles: 145.94 133.87 58.57
Positions (direct):
Cs 0.0000 0.0000 0.0000
Cs 0.1902 0.6902 0.5000
Cs 0.8098 0.3098 0.5000
V 0.5000 0.5000 0.0000
Cl 0.0952 0.8462 0.2490
Cl 0.2022 0.5000 0.7022
Cl 0.4027 0.1538 0.2490
Cl 0.5973 0.8462 0.7510
Cl 0.7978 0.5000 0.2978
Cl 0.9048 0.1538 0.7510
O 0.4300 0.2087 0.7787
O 0.4300 0.6513 0.2213
O 0.5700 0.3487 0.7787
O 0.5700 0.7913 0.2213